This entry pairs a crystal structure of Ho2Er2Al3 with its computed powder diffraction line list. Radiation: Cu Kα (λ = 1.5418 Å). Structure: a structure optimized by DFT (GGA-PBE).
No peak broadening, texture or thermal motion is included.

Largest 8 diffraction maxima, sorted by position, 10° ≤ 2θ ≤ 80°:
two_theta, d/Å, Rel. int.
25.2, 3.529, 43
25.5, 3.495, 70
33.9, 2.641, 42
36.2, 2.483, 100
42.8, 2.115, 26
58.6, 1.575, 23
62.2, 1.493, 20
64.9, 1.436, 19

Structural model:
a = 14.0953 Å, b = 14.0953 Å, c = 3.5289 Å
α = 90.00°, β = 90.00°, γ = 165.65°
Element x y z (fractional)
Ho 0.1939 0.8061 0.0000
Ho 0.8061 0.1939 0.0000
Er 0.0644 0.9356 0.0000
Er 0.9356 0.0644 0.0000
Al 0.3704 0.6296 0.5000
Al 0.5000 0.5000 0.5000
Al 0.6296 0.3704 0.5000